Diffraction record for TiO2. The powder XRD pattern is simulated, not measured: it uses the PBE geometry in the Materials Project and a wavelength of 1.5418 Å.
Lines closer than 0.1° are merged.

Cell and atoms:
a = 9.5565 Å, b = 2.9821 Å, c = 4.9690 Å
α = 90.00°, β = 90.00°, γ = 90.00°
Positions (direct):
Ti1 0.1378 0.2500 0.0767
Ti2 0.3622 0.7500 0.5767
Ti3 0.6378 0.2500 0.4233
Ti4 0.8622 0.7500 0.9233
O1 0.0310 0.7500 0.2031
O2 0.2323 0.7500 0.8615
O3 0.2677 0.2500 0.3615
O4 0.4690 0.2500 0.7031
O5 0.5310 0.7500 0.2969
O6 0.7323 0.7500 0.6385
O7 0.7677 0.2500 0.1385
O8 0.9690 0.2500 0.7969

Peak list (10 most intense, 2θ = 10–90°, by angle)
- d 4.409, I = 100
- d 3.444, I = 29
- d 2.682, I = 29
- d 2.530, I = 26
- d 2.470, I = 15
- d 2.254, I = 24
- d 1.994, I = 15
- d 1.959, I = 13
- d 1.637, I = 18
- d 1.531, I = 18

=====

Diffraction record for TiO2. The powder XRD pattern is simulated, not measured: it uses the PBE geometry in the Materials Project and a wavelength of 1.5418 Å.
Lines closer than 0.1° are merged.

Cell and atoms:
a = 5.9316 Å, b = 5.9316 Å, c = 19.7607 Å
α = 99.53°, β = 99.53°, γ = 61.45°
Positions (direct):
Ti1 0.0000 0.0000 0.0000
Ti2 0.1933 0.1933 0.5560
Ti3 0.2001 0.7274 0.6483
Ti4 0.2251 0.7266 0.1566
Ti5 0.2464 0.2464 0.7492
Ti6 0.3526 0.3526 0.0410
Ti7 0.4466 0.4466 0.3127
Ti8 0.4775 0.9730 0.4020
Ti9 0.4814 0.9483 0.9045
Ti10 0.5041 0.5041 0.4954
Ti11 0.5959 0.5959 0.7855
Ti12 0.7274 0.2001 0.6483
Ti13 0.7266 0.2251 0.1566
Ti14 0.7526 0.7526 0.2445
Ti15 0.9483 0.4814 0.9045
Ti16 0.9730 0.4775 0.4020
O1 0.0270 0.0270 0.0960
O2 0.0367 0.0367 0.5964
O3 0.0637 0.5183 0.5939
O4 0.0883 0.5371 0.0937
O5 0.1471 0.6606 0.9696
O6 0.1686 0.1686 0.4590
O7 0.1708 0.1708 0.9638
O8 0.1724 0.6277 0.4628
O9 0.2744 0.2744 0.8422
O10 0.2822 0.2822 0.3483
O11 0.3178 0.7783 0.3455
O12 0.3327 0.7827 0.8408
O13 0.3886 0.9010 0.7187
O14 0.4202 0.4202 0.7129
O15 0.4259 0.4259 0.2158
O16 0.4259 0.8854 0.2112
O17 0.5183 0.0637 0.5939
O18 0.5227 0.5227 0.5930
O19 0.5237 0.5237 0.0992
O20 0.5371 0.0883 0.0937
O21 0.6277 0.1724 0.4628
O22 0.6606 0.1471 0.9696
O23 0.6680 0.6680 0.4584
O24 0.6732 0.6732 0.9557
O25 0.7721 0.7721 0.8460
O26 0.7783 0.3178 0.3455
O27 0.7781 0.7781 0.3458
O28 0.7827 0.3327 0.8408
O29 0.8854 0.4259 0.2112
O30 0.9010 0.3886 0.7187
O31 0.9122 0.9122 0.6950
O32 0.9127 0.9127 0.2071

Peak list (10 most intense, 2θ = 10–90°, by angle)
- d 4.843, I = 72
- d 4.134, I = 29
- d 2.990, I = 43
- d 2.965, I = 45
- d 2.570, I = 100
- d 2.551, I = 29
- d 2.505, I = 43
- d 2.128, I = 39
- d 1.633, I = 38
- d 1.483, I = 64

=====

Diffraction record for TiO2. The powder XRD pattern is simulated, not measured: it uses the PBE geometry in the Materials Project and a wavelength of 1.5418 Å.
Lines closer than 0.1° are merged.

Cell and atoms:
a = 9.5964 Å, b = 3.0168 Å, c = 11.0478 Å
α = 90.00°, β = 90.00°, γ = 90.00°
Positions (direct):
Ti1 0.0175 0.2500 0.1317
Ti2 0.2361 0.7500 0.3446
Ti3 0.2639 0.2500 0.8446
Ti4 0.4825 0.7500 0.6317
Ti5 0.5175 0.2500 0.3683
Ti6 0.7361 0.7500 0.1554
Ti7 0.7639 0.2500 0.6554
Ti8 0.9825 0.7500 0.8683
O1 0.0953 0.2500 0.9556
O2 0.1250 0.7500 0.1889
O3 0.1332 0.7500 0.7688
O4 0.1509 0.2500 0.4058
O5 0.3491 0.7500 0.9058
O6 0.3668 0.2500 0.2688
O7 0.3750 0.2500 0.6889
O8 0.4047 0.7500 0.4556
O9 0.5953 0.2500 0.5444
O10 0.6250 0.7500 0.3111
O11 0.6332 0.7500 0.7312
O12 0.6509 0.2500 0.0942
O13 0.8491 0.7500 0.5942
O14 0.8668 0.2500 0.2312
O15 0.8750 0.2500 0.8111
O16 0.9047 0.7500 0.0444

Peak list (10 most intense, 2θ = 10–90°, by angle)
- d 7.245, I = 100
- d 5.524, I = 14
- d 4.787, I = 59
- d 3.438, I = 13
- d 3.073, I = 12
- d 2.765, I = 26
- d 2.488, I = 33
- d 2.318, I = 14
- d 2.040, I = 12
- d 1.671, I = 18

=====

Diffraction record for TiO2. The powder XRD pattern is simulated, not measured: it uses the PBE geometry in the Materials Project and a wavelength of 1.5418 Å.
Lines closer than 0.1° are merged.

Cell and atoms:
a = 5.1686 Å, b = 5.1686 Å, c = 5.1686 Å
α = 33.71°, β = 33.71°, γ = 33.71°
Positions (direct):
Ti1 0.0000 0.0000 0.0000
O1 0.2671 0.2671 0.2671
O2 0.7329 0.7329 0.7329

Peak list (10 most intense, 2θ = 10–90°, by angle)
- d 4.870, I = 100
- d 2.556, I = 29
- d 2.116, I = 49
- d 1.941, I = 6
- d 1.627, I = 15
- d 1.499, I = 14
- d 1.494, I = 11
- d 1.432, I = 13
- d 1.223, I = 6
- d 1.182, I = 5

=====

Diffraction record for TiO2. The powder XRD pattern is simulated, not measured: it uses the PBE geometry in the Materials Project and a wavelength of 1.5418 Å.
Lines closer than 0.1° are merged.

Cell and atoms:
a = 5.9868 Å, b = 3.7730 Å, c = 9.0732 Å
α = 90.00°, β = 90.00°, γ = 90.00°
Positions (direct):
Ti1 0.0121 0.2500 0.1359
Ti2 0.4879 0.7500 0.6359
Ti3 0.5121 0.2500 0.3641
Ti4 0.9879 0.7500 0.8641
O1 0.0377 0.7500 0.0817
O2 0.2361 0.7500 0.7545
O3 0.2639 0.2500 0.2545
O4 0.4623 0.2500 0.5817
O5 0.5377 0.7500 0.4183
O6 0.7361 0.7500 0.7455
O7 0.7639 0.2500 0.2455
O8 0.9623 0.2500 0.9183

Peak list (10 most intense, 2θ = 10–90°, by angle)
- d 4.997, I = 100
- d 3.484, I = 37
- d 2.993, I = 13
- d 2.699, I = 14
- d 2.611, I = 18
- d 1.886, I = 9
- d 1.808, I = 11
- d 1.765, I = 9
- d 1.435, I = 8
- d 1.305, I = 6

=====

Diffraction record for Ti3O4. The powder XRD pattern is simulated, not measured: it uses the PBE geometry in the Materials Project and a wavelength of 1.5418 Å.
Lines closer than 0.1° are merged.

Cell and atoms:
a = 5.0470 Å, b = 5.0470 Å, c = 3.0262 Å
α = 90.00°, β = 90.00°, γ = 108.40°
Positions (direct):
Ti1 0.0000 0.0000 0.0000
Ti2 0.0000 0.5000 0.5000
Ti3 0.5000 0.0000 0.5000
O1 0.2354 0.2354 0.5000
O2 0.2572 0.7428 0.0000
O3 0.7428 0.2572 0.0000
O4 0.7646 0.7646 0.5000

Peak list (10 most intense, 2θ = 10–90°, by angle)
- d 4.789, I = 57
- d 4.093, I = 18
- d 2.558, I = 16
- d 2.433, I = 22
- d 2.395, I = 21
- d 2.113, I = 100
- d 2.047, I = 45
- d 1.513, I = 14
- d 1.476, I = 13
- d 1.470, I = 51

=====

Diffraction record for TiO2. The powder XRD pattern is simulated, not measured: it uses the PBE geometry in the Materials Project and a wavelength of 1.5418 Å.
Lines closer than 0.1° are merged.

Cell and atoms:
a = 3.7820 Å, b = 6.4900 Å, c = 6.5086 Å
α = 85.15°, β = 73.18°, γ = 73.39°
Positions (direct):
Ti1 0.0207 0.1910 0.2725
Ti2 0.2952 0.2272 0.6906
Ti3 0.7048 0.7728 0.3094
Ti4 0.9793 0.8090 0.7275
O1 0.1508 0.8532 0.3398
O2 0.1563 0.5113 0.6805
O3 0.1699 0.1818 0.9884
O4 0.4953 0.1587 0.3524
O5 0.5047 0.8413 0.6476
O6 0.8301 0.8182 0.0116
O7 0.8437 0.4887 0.3195
O8 0.8492 0.1468 0.6602

Peak list (10 most intense, 2θ = 10–90°, by angle)
- d 6.225, I = 89
- d 3.475, I = 78
- d 3.112, I = 100
- d 2.732, I = 40
- d 2.723, I = 40
- d 2.075, I = 60
- d 1.891, I = 35
- d 1.597, I = 17
- d 1.501, I = 15
- d 1.398, I = 13

=====

Diffraction record for TiO2. The powder XRD pattern is simulated, not measured: it uses the PBE geometry in the Materials Project and a wavelength of 1.5418 Å.
Lines closer than 0.1° are merged.

Cell and atoms:
a = 4.8438 Å, b = 9.4424 Å, c = 4.9959 Å
α = 90.00°, β = 90.00°, γ = 90.00°
Positions (direct):
Ti1 0.2500 0.1150 0.0418
Ti2 0.2500 0.3850 0.5418
Ti3 0.2500 0.6150 0.0418
Ti4 0.2500 0.8850 0.5418
Ti5 0.7500 0.1150 0.4582
Ti6 0.7500 0.3850 0.9582
Ti7 0.7500 0.6150 0.4582
Ti8 0.7500 0.8850 0.9582
O1 0.0042 0.0257 0.7373
O2 0.0042 0.4743 0.2373
O3 0.1384 0.7107 0.3764
O4 0.1384 0.7893 0.8764
O5 0.3616 0.2107 0.3764
O6 0.3616 0.2893 0.8764
O7 0.4958 0.5257 0.7373
O8 0.4958 0.9743 0.2373
O9 0.5042 0.0257 0.7627
O10 0.5042 0.4743 0.2627
O11 0.6384 0.7107 0.1236
O12 0.6384 0.7893 0.6236
O13 0.8616 0.2107 0.1236
O14 0.8616 0.2893 0.6236
O15 0.9958 0.5257 0.7627
O16 0.9958 0.9743 0.2627

Peak list (10 most intense, 2θ = 10–90°, by angle)
- d 3.431, I = 8
- d 2.800, I = 100
- d 2.422, I = 11
- d 1.739, I = 20
- d 1.716, I = 16
- d 1.690, I = 18
- d 1.617, I = 8
- d 1.494, I = 10
- d 1.461, I = 15
- d 1.434, I = 16

=====

Diffraction record for Ti2O. The powder XRD pattern is simulated, not measured: it uses the PBE geometry in the Materials Project and a wavelength of 1.5418 Å.
Lines closer than 0.1° are merged.

Cell and atoms:
a = 4.6625 Å, b = 2.9516 Å, c = 8.2518 Å
α = 90.00°, β = 92.09°, γ = 90.00°
Positions (direct):
Ti1 0.2354 0.0000 0.0856
Ti2 0.2458 0.0000 0.4284
Ti3 0.2493 0.5000 0.7571
Ti4 0.7507 0.5000 0.2429
Ti5 0.7542 0.0000 0.5716
Ti6 0.7646 0.0000 0.9144
O1 0.2070 0.5000 0.2586
O2 0.5000 0.5000 0.0000
O3 0.7930 0.5000 0.7414

Peak list (10 most intense, 2θ = 10–90°, by angle)
- d 2.402, I = 100
- d 2.400, I = 42
- d 2.374, I = 22
- d 2.330, I = 97
- d 1.690, I = 40
- d 1.654, I = 24
- d 1.476, I = 14
- d 1.388, I = 14
- d 1.374, I = 15
- d 1.247, I = 24

=====

Diffraction record for TiO. The powder XRD pattern is simulated, not measured: it uses the PBE geometry in the Materials Project and a wavelength of 1.5418 Å.
Lines closer than 0.1° are merged.

Cell and atoms:
a = 5.1155 Å, b = 5.1155 Å, c = 5.8459 Å
α = 105.76°, β = 105.76°, γ = 48.15°
Positions (direct):
Ti1 0.0000 0.0000 0.0000
Ti2 0.3374 0.3374 0.6724
Ti3 0.3505 0.3505 0.1745
Ti4 0.6495 0.6495 0.8255
Ti5 0.6626 0.6626 0.3276
O1 0.1710 0.1710 0.8434
O2 0.1718 0.1718 0.3314
O3 0.5000 0.5000 0.5000
O4 0.8282 0.8282 0.6686
O5 0.8290 0.8290 0.1566

Peak list (10 most intense, 2θ = 10–90°, by angle)
- d 3.331, I = 31
- d 2.421, I = 72
- d 2.394, I = 74
- d 2.101, I = 99
- d 2.087, I = 100
- d 2.067, I = 93
- d 1.481, I = 54
- d 1.469, I = 57
- d 1.461, I = 26
- d 1.197, I = 25

=====

Diffraction record for Ti4O3. The powder XRD pattern is simulated, not measured: it uses the PBE geometry in the Materials Project and a wavelength of 1.5418 Å.
Lines closer than 0.1° are merged.

Cell and atoms:
a = 5.1545 Å, b = 5.1545 Å, c = 5.1545 Å
α = 131.06°, β = 131.06°, γ = 71.71°
Positions (direct):
Ti1 0.0000 0.5000 0.5000
Ti2 0.2411 0.2411 0.0000
Ti3 0.5000 0.0000 0.5000
Ti4 0.7589 0.7589 0.0000
O1 0.2500 0.7500 0.5000
O2 0.5000 0.5000 0.0000
O3 0.7500 0.2500 0.5000

Peak list (10 most intense, 2θ = 10–90°, by angle)
- d 3.802, I = 3
- d 2.447, I = 100
- d 2.333, I = 5
- d 2.135, I = 94
- d 2.089, I = 43
- d 1.510, I = 27
- d 1.493, I = 50
- d 1.285, I = 24
- d 1.265, I = 11
- d 1.224, I = 23

=====

Diffraction record for Ti2O7. The powder XRD pattern is simulated, not measured: it uses the PBE geometry in the Materials Project and a wavelength of 1.5418 Å.
Lines closer than 0.1° are merged.

Cell and atoms:
a = 5.9869 Å, b = 6.0711 Å, c = 10.8887 Å
α = 86.90°, β = 88.20°, γ = 61.05°
Positions (direct):
Ti1 0.1638 0.1834 0.3279
Ti2 0.1675 0.1586 0.6634
Ti3 0.8325 0.8414 0.3366
Ti4 0.8362 0.8166 0.6721
O1 0.0209 0.5201 0.2863
O2 0.0276 0.9602 0.7163
O3 0.0740 0.7409 0.9657
O4 0.1576 0.1763 0.9993
O5 0.1642 0.1706 0.4955
O6 0.3054 0.2125 0.0691
O7 0.4993 0.0179 0.7131
O8 0.5007 0.9821 0.2869
O9 0.6946 0.7875 0.9309
O10 0.8358 0.8294 0.5045
O11 0.8424 0.8237 0.0007
O12 0.9260 0.2591 0.0343
O13 0.9724 0.0398 0.2837
O14 0.9791 0.4799 0.7137

Peak list (10 most intense, 2θ = 10–90°, by angle)
- d 5.307, I = 78
- d 5.239, I = 100
- d 5.186, I = 99
- d 3.624, I = 95
- d 3.061, I = 41
- d 3.030, I = 47
- d 2.991, I = 32
- d 2.969, I = 22
- d 2.907, I = 24
- d 2.265, I = 17